Computed X-ray powder pattern
Compound: Ni3AgSe6
Radiation: Cu Kα (λ = 1.5418 Å)
Structure: a GGA-PBE-relaxed structure
Lines closer than 0.1° are merged.

```
Ni3AgSe6
1.0
4.480 -5.898 0.000
4.480 5.898 0.000
0.000 0.000 3.718
Ni Ag Se
3 1 6
Direct
0.000 0.000 0.000
0.000 0.500 0.500
0.500 0.000 0.500
0.500 0.500 0.000
0.072 0.322 0.000
0.322 0.072 0.000
0.333 0.667 0.500
0.667 0.333 0.500
0.678 0.928 0.000
0.928 0.678 0.000
```

Peak list (10 most intense, 2θ = 5–70°, in order of rising 2θ)
- 2θ 24.96, intensity 30
- 2θ 28.38, intensity 65
- 2θ 30.89, intensity 34
- 2θ 34.68, intensity 38
- 2θ 40.26, intensity 24
- 2θ 44.10, intensity 100
- 2θ 49.00, intensity 28
- 2θ 49.99, intensity 25
- 2θ 50.71, intensity 18
- 2θ 62.16, intensity 19

---

Computed X-ray powder pattern
Compound: Tb2Sm6Tm
Radiation: Cu Kα (λ = 1.5418 Å)
Structure: a GGA-PBE-relaxed structure
Lines closer than 0.1° are merged.

```
Tb2Sm6Tm
1.0
10.788 0.000 0.000
0.000 10.788 0.000
0.000 0.000 5.087
Tb Sm Tm
4 12 2
Direct
0.166 0.166 0.000
0.334 0.666 0.500
0.666 0.334 0.500
0.834 0.834 0.000
0.000 0.332 0.500
0.000 0.668 0.500
0.166 0.834 0.000
0.168 0.500 0.000
0.332 0.000 0.500
0.334 0.334 0.500
0.500 0.168 0.000
0.500 0.832 0.000
0.666 0.666 0.500
0.668 0.000 0.500
0.832 0.500 0.000
0.834 0.166 0.000
0.000 0.000 0.500
0.500 0.500 0.000
```

Peak list (5 most intense, 2θ = 5–70°, in order of rising 2θ)
- 2θ 30.44, intensity 100
- 2θ 35.29, intensity 51
- 2θ 50.77, intensity 36
- 2θ 60.36, intensity 43
- 2θ 63.35, intensity 12

---

Computed X-ray powder pattern
Compound: Nd4AgSn8
Radiation: Cu Kα (λ = 1.5418 Å)
Structure: a GGA-PBE-relaxed structure
Lines closer than 0.1° are merged.

```
Nd4AgSn8
1.0
4.444 0.000 0.000
0.000 4.518 0.000
0.000 0.000 17.889
Nd Ag Sn
4 1 8
Direct
0.000 0.000 0.000
0.000 0.500 0.476
0.500 0.000 0.789
0.500 0.500 0.282
0.000 0.500 0.714
0.000 0.000 0.319
0.000 0.000 0.617
0.000 0.500 0.139
0.000 0.500 0.862
0.500 0.000 0.144
0.500 0.000 0.431
0.500 0.500 0.616
0.500 0.500 0.970
```

Peak list (10 most intense, 2θ = 5–70°, in order of rising 2θ)
- 2θ 29.96, intensity 13
- 2θ 31.98, intensity 100
- 2θ 34.70, intensity 8
- 2θ 36.28, intensity 8
- 2θ 39.91, intensity 18
- 2θ 40.60, intensity 18
- 2θ 50.70, intensity 5
- 2θ 58.25, intensity 14
- 2θ 67.52, intensity 12
- 2θ 68.50, intensity 11

---

Computed X-ray powder pattern
Compound: Sc5PaBi6
Radiation: Cu Kα (λ = 1.5418 Å)
Structure: a GGA-PBE-relaxed structure
Lines closer than 0.1° are merged.

```
Sc5PaBi6
1.0
3.728 -6.455 0.000
3.728 6.455 0.000
-2.495 0.000 7.027
Sc Pa Bi
5 1 6
Direct
0.000 0.000 0.000
0.168 0.832 0.500
0.338 0.662 0.000
0.662 0.338 0.000
0.832 0.168 0.500
0.500 0.500 0.500
0.073 0.414 0.243
0.241 0.241 0.751
0.414 0.073 0.243
0.586 0.927 0.757
0.759 0.759 0.249
0.927 0.586 0.757
```

Peak list (10 most intense, 2θ = 5–70°, in order of rising 2θ)
- 2θ 18.67, intensity 2
- 2θ 25.35, intensity 41
- 2θ 29.35, intensity 100
- 2θ 41.99, intensity 76
- 2θ 49.68, intensity 18
- 2θ 49.70, intensity 3
- 2θ 52.05, intensity 27
- 2θ 60.88, intensity 13
- 2θ 67.02, intensity 9
- 2θ 69.01, intensity 35

---

Which formula does entry 4 have?
Sc5PaBi6